For CsAc2Ge6, a cell relaxed with GGA-PBE gives the computed powder X-ray diffraction pattern in this record (Cu Kα (weighted mean of Kα1 and Kα2)).

Largest 8 diffraction maxima, in order of falling intensity, 2θ from 10° to 90°:
(1 1 2), d 3.664, intensity 100
(2 0 0), d 2.607, intensity 85
(0 1 3), d 4.146, intensity 81
(1 2 1), d 2.814, intensity 70
(1 1 4), d 2.843, intensity 51
(0 3 3), d 2.088, intensity 45
(2 3 3), d 1.630, intensity 43
(1 2 3), d 2.507, intensity 30

Structure:
```
data_CsAc2Ge6
_chemical_formula_sum 'Cs2 Ac4 Ge12'
_cell_length_a 5.220
_cell_length_b 6.839
_cell_length_c 15.621
_cell_angle_alpha 90.00
_cell_angle_beta 90.00
_cell_angle_gamma 90.00
_symmetry_space_group_name_H-M 'I m m m'
_symmetry_Int_Tables_number 71
_symmetry_space_group_name_Hall '-I 2 2'
loop_
_atom_site_label
_atom_site_fract_x
_atom_site_fract_y
_atom_site_fract_z
Cs1 0.000 0.000 0.000
Ac1 0.000 0.500 0.174
Ge1 0.000 0.175 0.500
Ge2 0.000 0.307 0.354
```

---

For Tb2IrI3, a cell relaxed with GGA-PBE gives the computed powder X-ray diffraction pattern in this record (Cu Kα (weighted mean of Kα1 and Kα2)).

Largest 8 diffraction maxima, in order of falling intensity, 2θ from 10° to 90°:
(1 1 -3), d 2.912, intensity 100
(5 1 1), d 2.234, intensity 82
(1 1 1), d 3.697, intensity 72
(0 2 0), d 2.161, intensity 70
(3 1 -1), d 3.523, intensity 58
(1 1 -4), d 2.402, intensity 50
(5 1 -4), d 2.429, intensity 46
(6 0 -1), d 2.875, intensity 45

Structure:
```
data_Tb2IrI3
_chemical_formula_sum 'Tb8 Ir4 I12'
_cell_length_a 18.273
_cell_length_b 4.322
_cell_length_c 12.584
_cell_angle_alpha 90.00
_cell_angle_beta 122.48
_cell_angle_gamma 90.00
_symmetry_space_group_name_H-M 'C 1 2/m 1'
_symmetry_Int_Tables_number 12
loop_
_symmetry_equiv_pos_as_xyz
'x,y,z'
'-x,-y,-z'
'-x,y,-z'
'x,-y,z'
'x+1/2,y+1/2,z'
'-x+1/2,-y+1/2,-z'
'-x+1/2,y+1/2,-z'
'x+1/2,-y+1/2,z'
loop_
_atom_site_label
_atom_site_fract_x
_atom_site_fract_y
_atom_site_fract_z
Tb1 0.079 0.000 0.406
Tb2 0.129 0.500 0.801
Ir1 0.076 0.000 0.636
I1 0.051 0.500 0.210
I2 0.165 0.000 0.023
I3 0.203 0.500 0.604
```

---

For Rb2ReGeO6, a cell relaxed with GGA-PBE gives the computed powder X-ray diffraction pattern in this record (Cu Kα (weighted mean of Kα1 and Kα2)).

Largest 8 diffraction maxima, in order of falling intensity, 2θ from 10° to 90°:
(1 1 1), d 3.390, intensity 100
(3 1 -1), d 3.195, intensity 97
(4 0 0), d 2.782, intensity 35
(2 2 -2), d 2.038, intensity 33
(0 2 0), d 2.793, intensity 32
(2 0 -2), d 2.979, intensity 31
(1 1 0), d 4.992, intensity 29
(0 0 1), d 5.464, intensity 25

Structure:
```
data_Rb2ReGeO6
_chemical_formula_sum 'Rb4 Re2 Ge2 O12'
_cell_length_a 12.188
_cell_length_b 5.586
_cell_length_c 5.983
_cell_angle_alpha 90.00
_cell_angle_beta 114.06
_cell_angle_gamma 90.00
_symmetry_space_group_name_H-M 'C 1 m 1'
_symmetry_Int_Tables_number 8
loop_
_symmetry_equiv_pos_as_xyz
'x,y,z'
'x,-y,z'
'x+1/2,y+1/2,z'
'x+1/2,-y+1/2,z'
loop_
_atom_site_label
_atom_site_fract_x
_atom_site_fract_y
_atom_site_fract_z
Rb1 0.000 0.000 0.000
Rb2 0.021 0.500 0.534
Re1 0.248 0.500 0.242
Ge1 0.273 0.000 0.878
O1 0.199 0.265 0.378
O2 0.210 0.275 0.956
O3 0.406 0.500 0.391
O4 0.427 0.000 0.984
```

---

For TcRuRh, a cell relaxed with GGA-PBE gives the computed powder X-ray diffraction pattern in this record (Cu Kα (weighted mean of Kα1 and Kα2)).

Largest 8 diffraction maxima, in order of falling intensity, 2θ from 10° to 90°:
(1 2 0), d 2.084, intensity 100
(2 0 0), d 2.164, intensity 25
(3 2 0), d 1.233, intensity 18
(0 1 3), d 2.375, intensity 17
(2 1 3), d 1.600, intensity 14
(2 3 3), d 1.160, intensity 13
(0 3 3), d 1.374, intensity 11
(1 2 6), d 1.145, intensity 10

Structure:
```
data_TcRuRh
_chemical_formula_sum 'Tc4 Ru4 Rh4'
_cell_length_a 4.328
_cell_length_b 4.763
_cell_length_c 8.220
_cell_angle_alpha 90.00
_cell_angle_beta 90.00
_cell_angle_gamma 90.00
_symmetry_space_group_name_H-M 'A m a 2'
_symmetry_Int_Tables_number 40
loop_
_symmetry_equiv_pos_as_xyz
'x,y,z'
'-x,-y,z'
'-x+1/2,y,z'
'x+1/2,-y,z'
'x,y+1/2,z+1/2'
'-x,-y+1/2,z+1/2'
'-x+1/2,y+1/2,z+1/2'
'x+1/2,-y+1/2,z+1/2'
loop_
_atom_site_label
_atom_site_fract_x
_atom_site_fract_y
_atom_site_fract_z
Tc1 0.250 0.165 0.000
Ru1 0.250 0.163 0.665
Rh1 0.250 0.166 0.331
```

---

For Ti4TcPt, a cell relaxed with GGA-PBE gives the computed powder X-ray diffraction pattern in this record (Cu Kα (weighted mean of Kα1 and Kα2)).

Largest 8 diffraction maxima, in order of falling intensity, 2θ from 10° to 90°:
(0 1 2), d 3.534, intensity 100
(1 1 0), d 2.173, intensity 71
(0 1 8), d 2.122, intensity 66
(1 1 6), d 1.835, intensity 32
(0 0 6), d 3.426, intensity 31
(1 2 8), d 1.245, intensity 22
(2 0 8), d 1.518, intensity 22
(2 0 2), d 1.851, intensity 16

Structure:
```
data_Ti4TcPt
_chemical_formula_sum 'Ti12 Tc3 Pt3'
_cell_length_a 4.3462
_cell_length_b 4.3462
_cell_length_c 20.5577
_cell_angle_alpha 90.00
_cell_angle_beta 90.00
_cell_angle_gamma 120.00
_symmetry_space_group_name_H-M 'R -3 m'
_symmetry_Int_Tables_number 166
_symmetry_space_group_name_Hall '-R 3 2"'
loop_
_atom_site_label
_atom_site_fract_x
_atom_site_fract_y
_atom_site_fract_z
Ti1 0.0000 0.0000 0.1222
Ti2 0.0000 0.0000 0.3722
Tc1 0.0000 0.0000 0.0000
Pt1 0.0000 0.0000 0.5000
```

---

For La3Y5Tm4, a cell relaxed with GGA-PBE gives the computed powder X-ray diffraction pattern in this record (Cu Kα (weighted mean of Kα1 and Kα2)).

Largest 8 diffraction maxima, in order of falling intensity, 2θ from 10° to 90°:
(1 2 1), d 2.932, intensity 100
(1 2 -2), d 2.534, intensity 45
(1 -2 1), d 2.925, intensity 33
(2 0 -4), d 1.793, intensity 24
(3 2 -3), d 1.529, intensity 23
(2 0 2), d 2.545, intensity 23
(3 2 0), d 1.797, intensity 16
(0 4 -3), d 1.527, intensity 14

Structure:
```
data_La3Y5Tm4
_chemical_formula_sum 'La3 Y5 Tm4'
_cell_length_a 6.221
_cell_length_b 7.163
_cell_length_c 8.800
_cell_angle_alpha 89.92
_cell_angle_beta 89.77
_cell_angle_gamma 89.85
_symmetry_space_group_name_H-M 'P -1'
_symmetry_Int_Tables_number 2
loop_
_symmetry_equiv_pos_as_xyz
'x,y,z'
'-x,-y,-z'
loop_
_atom_site_label
_atom_site_fract_x
_atom_site_fract_y
_atom_site_fract_z
La1 0.000 0.000 0.000
La2 0.164 0.254 0.334
Y1 0.000 0.500 0.000
Y2 0.335 0.999 0.666
Y3 0.498 0.748 0.000
Tm1 0.170 0.748 0.333
Tm2 0.335 0.498 0.666
```

---

For PrSm2TmTh, a cell relaxed with GGA-PBE gives the computed powder X-ray diffraction pattern in this record (Cu Kα (weighted mean of Kα1 and Kα2)).

Largest 8 diffraction maxima, in order of falling intensity, 2θ from 10° to 90°:
(1 2 0), d 3.016, intensity 100
(2 1 1), d 2.958, intensity 75
(0 0 2), d 3.162, intensity 55
(2 1 -1), d 3.274, intensity 55
(1 1 2), d 2.597, intensity 53
(2 0 0), d 4.275, intensity 50
(1 2 -1), d 2.777, intensity 49
(0 1 2), d 2.839, intensity 46

Structure:
```
data_PrSm2TmTh
_chemical_formula_sum 'Pr2 Sm4 Tm2 Th2'
_cell_length_a 8.637
_cell_length_b 6.446
_cell_length_c 6.388
_cell_angle_alpha 90.00
_cell_angle_beta 98.15
_cell_angle_gamma 90.00
_symmetry_space_group_name_H-M 'P 1 2/c 1'
_symmetry_Int_Tables_number 13
loop_
_symmetry_equiv_pos_as_xyz
'x,y,z'
'-x,-y,-z'
'-x,y,-z+1/2'
'x,-y,z+1/2'
loop_
_atom_site_label
_atom_site_fract_x
_atom_site_fract_y
_atom_site_fract_z
Pr1 0.000 0.000 0.000
Sm1 0.316 0.311 0.205
Tm1 0.500 0.172 0.750
Th1 0.000 0.453 0.750
```

---

For PmDy14Pu, a cell relaxed with GGA-PBE gives the computed powder X-ray diffraction pattern in this record (Cu Kα (weighted mean of Kα1 and Kα2)).

Largest 8 diffraction maxima, in order of falling intensity, 2θ from 10° to 90°:
(2 2 2), d 2.733, intensity 100
(4 0 0), d 2.818, intensity 24
(0 0 4), d 3.124, intensity 24
(4 4 0), d 1.519, intensity 23
(6 2 2), d 1.610, intensity 21
(0 4 0), d 1.804, intensity 20
(2 0 8), d 1.505, intensity 16
(4 0 4), d 2.093, intensity 16

Structure:
```
data_PmDy14Pu
_chemical_formula_sum 'Pm2 Dy28 Pu2'
_cell_length_a 11.271
_cell_length_b 7.217
_cell_length_c 12.494
_cell_angle_alpha 90.00
_cell_angle_beta 90.00
_cell_angle_gamma 90.00
_symmetry_space_group_name_H-M 'A m m 2'
_symmetry_Int_Tables_number 38
loop_
_symmetry_equiv_pos_as_xyz
'x,y,z'
'-x,-y,z'
'-x,y,z'
'x,-y,z'
'x,y+1/2,z+1/2'
'-x,-y+1/2,z+1/2'
'-x,y+1/2,z+1/2'
'x,-y+1/2,z+1/2'
loop_
_atom_site_label
_atom_site_fract_x
_atom_site_fract_y
_atom_site_fract_z
Pm1 0.000 0.000 0.000
Dy1 0.000 0.250 0.249
Dy2 0.248 0.000 0.335
Dy3 0.249 0.247 0.582
Dy4 0.253 0.000 0.833
Dy5 0.500 0.000 0.000
Dy6 0.500 0.000 0.500
Dy7 0.500 0.250 0.250
Pu1 0.000 0.000 0.501
```

---

For Sn5Hg2Se5, a cell relaxed with GGA-PBE gives the computed powder X-ray diffraction pattern in this record (Cu Kα (weighted mean of Kα1 and Kα2)).

Largest 8 diffraction maxima, in order of falling intensity, 2θ from 10° to 90°:
(1 2 1), d 3.539, intensity 100
(1 2 2), d 2.871, intensity 89
(0 2 -2), d 2.594, intensity 79
(0 1 -1), d 5.186, intensity 76
(2 1 -1), d 2.803, intensity 76
(2 -1 1), d 2.766, intensity 67
(1 3 0), d 2.547, intensity 55
(1 -1 1), d 4.051, intensity 48

Structure:
```
data_Sn5Hg2Se5
_chemical_formula_sum 'Sn5 Hg2 Se5'
_cell_length_a 7.087
_cell_length_b 7.738
_cell_length_c 7.748
_cell_angle_alpha 84.15
_cell_angle_beta 74.83
_cell_angle_gamma 73.79
_symmetry_space_group_name_H-M 'P 1'
_symmetry_Int_Tables_number 1
loop_
_symmetry_equiv_pos_as_xyz
'x,y,z'
loop_
_atom_site_label
_atom_site_fract_x
_atom_site_fract_y
_atom_site_fract_z
Sn1 0.000 0.000 0.000
Sn2 0.003 0.467 0.532
Sn3 0.229 0.474 0.011
Sn4 0.631 0.653 0.181
Sn5 0.778 0.958 0.486
Hg1 0.351 0.162 0.705
Hg2 0.710 0.311 0.838
Se1 0.157 0.736 0.271
Se2 0.609 0.028 0.196
Se3 0.611 0.668 0.554
Se4 0.963 0.304 0.225
Se5 0.964 0.692 0.836
```

---

For LaAg22, a cell relaxed with GGA-PBE gives the computed powder X-ray diffraction pattern in this record (Cu Kα (weighted mean of Kα1 and Kα2)).

Largest 8 diffraction maxima, in order of falling intensity, 2θ from 10° to 90°:
(5 3 1), d 2.583, intensity 100
(6 2 2), d 2.304, intensity 95
(5 3 3), d 2.331, intensity 85
(8 8 0), d 1.351, intensity 53
(6 2 0), d 2.416, intensity 43
(7 1 1), d 2.140, intensity 39
(4 4 4), d 2.206, intensity 30
(6 6 0), d 1.801, intensity 25

Structure:
abc: 15.282 15.282 15.282
angles: 90.00 90.00 90.00
Space group Fd-3m (No. 227, origin choice 2)
One atom of each set of equivalent atoms:
La1 0.125 0.125 0.125 x8
Ag1 0.000 0.000 0.000 x16
Ag2 0.000 0.000 0.500 x16
Ag3 0.012 0.375 0.875 x48
Ag4 0.059 0.059 0.324 x96

---

For CaInAu10, a cell relaxed with GGA-PBE gives the computed powder X-ray diffraction pattern in this record (Cu Kα (weighted mean of Kα1 and Kα2)).

Largest 8 diffraction maxima, in order of falling intensity, 2θ from 10° to 90°:
(1 1 3), d 2.401, intensity 100
(1 2 2), d 2.166, intensity 87
(0 1 1), d 4.890, intensity 60
(2 0 0), d 2.336, intensity 59
(1 2 0), d 2.424, intensity 52
(1 0 4), d 2.144, intensity 36
(0 0 2), d 4.827, intensity 34
(2 2 6), d 1.201, intensity 27

Structure:
```
data_CaInAu10
_chemical_formula_sum 'Ca1 In1 Au10'
_cell_length_a 4.671
_cell_length_b 5.672
_cell_length_c 9.655
_cell_angle_alpha 90.00
_cell_angle_beta 90.00
_cell_angle_gamma 90.00
_symmetry_space_group_name_H-M 'P m m m'
_symmetry_Int_Tables_number 47
loop_
_symmetry_equiv_pos_as_xyz
'x,y,z'
'-x,-y,-z'
'-x,-y,z'
'x,y,-z'
'x,-y,-z'
'-x,y,z'
'-x,y,-z'
'x,-y,z'
loop_
_atom_site_label
_atom_site_fract_x
_atom_site_fract_y
_atom_site_fract_z
Ca1 0.000 0.000 0.000
In1 0.000 0.500 0.500
Au1 0.000 0.000 0.337
Au2 0.000 0.500 0.178
Au3 0.500 0.000 0.500
Au4 0.500 0.244 0.242
Au5 0.500 0.500 0.000
```

---

For YSc6Cd, a cell relaxed with GGA-PBE gives the computed powder X-ray diffraction pattern in this record (Cu Kα (weighted mean of Kα1 and Kα2)).

Largest 8 diffraction maxima, in order of falling intensity, 2θ from 10° to 90°:
(1 1 2), d 2.671, intensity 100
(2 0 0), d 2.293, intensity 32
(3 1 2), d 1.386, intensity 23
(2 0 4), d 1.642, intensity 21
(0 0 4), d 2.353, intensity 17
(1 1 6), d 1.412, intensity 12
(1 0 0), d 4.587, intensity 11
(1 0 2), d 3.285, intensity 10

Structure:
```
data_YSc6Cd
_chemical_formula_sum 'Y1 Sc6 Cd1'
_cell_length_a 4.587
_cell_length_b 4.587
_cell_length_c 9.413
_cell_angle_alpha 90.00
_cell_angle_beta 90.00
_cell_angle_gamma 90.00
_symmetry_space_group_name_H-M 'P 4/m m m'
_symmetry_Int_Tables_number 123
_symmetry_space_group_name_Hall '-P 4 2'
loop_
_atom_site_label
_atom_site_fract_x
_atom_site_fract_y
_atom_site_fract_z
Y1 0.000 0.000 0.000
Sc1 0.000 0.500 0.259
Sc2 0.500 0.500 0.000
Sc3 0.500 0.500 0.500
Cd1 0.000 0.000 0.500
```

---

For Cs2NaBeH4, a cell relaxed with GGA-PBE gives the computed powder X-ray diffraction pattern in this record (Cu Kα (weighted mean of Kα1 and Kα2)).

Largest 8 diffraction maxima, in order of falling intensity, 2θ from 10° to 90°:
(1 1 3), d 4.335, intensity 100
(1 1 5), d 3.962, intensity 90
(0 2 6), d 3.820, intensity 78
(0 2 2), d 4.578, intensity 72
(0 0 8), d 4.881, intensity 61
(1 1 11), d 2.810, intensity 47
(0 0 16), d 2.441, intensity 38
(1 3 5), d 2.552, intensity 30

Structure:
```
data_Cs2NaBeH4
_chemical_formula_sum 'Cs16 Na8 Be8 H32'
_cell_length_a 5.266
_cell_length_b 9.435
_cell_length_c 39.046
_cell_angle_alpha 90.00
_cell_angle_beta 90.00
_cell_angle_gamma 90.00
_symmetry_space_group_name_H-M 'F d d d'
_symmetry_Int_Tables_number 70
loop_
_symmetry_equiv_pos_as_xyz
'x,y,z'
'-x,-y,-z'
'-x+1/4,-y+1/4,z'
'x+1/4,y+1/4,-z'
'x,-y+1/4,-z+1/4'
'-x,y+1/4,z+1/4'
'-x+1/4,y,-z+1/4'
'x+1/4,-y,z+1/4'
'x,y+1/2,z+1/2'
'-x,-y+1/2,-z+1/2'
'-x+1/4,-y+3/4,z+1/2'
'x+1/4,y+3/4,-z+1/2'
'x,-y+3/4,-z+3/4'
'-x,y+3/4,z+3/4'
'-x+1/4,y+1/2,-z+3/4'
'x+1/4,-y+1/2,z+3/4'
'x+1/2,y,z+1/2'
'-x+1/2,-y,-z+1/2'
'-x+3/4,-y+1/4,z+1/2'
'x+3/4,y+1/4,-z+1/2'
'x+1/2,-y+1/4,-z+3/4'
'-x+1/2,y+1/4,z+3/4'
'-x+3/4,y,-z+3/4'
'x+3/4,-y,z+3/4'
'x+1/2,y+1/2,z'
'-x+1/2,-y+1/2,-z'
'-x+3/4,-y+3/4,z'
'x+3/4,y+3/4,-z'
'x+1/2,-y+3/4,-z+1/4'
'-x+1/2,y+3/4,z+1/4'
'-x+3/4,y+1/2,-z+1/4'
'x+3/4,-y+1/2,z+1/4'
loop_
_atom_site_label
_atom_site_fract_x
_atom_site_fract_y
_atom_site_fract_z
Cs1 0.125 0.125 0.310
Na1 0.125 0.125 0.125
Be1 0.125 0.125 0.625
H1 0.033 0.287 0.853
```